Entry 1:
Calculated powder XRD pattern
Compound: NdRh3
Radiation: Cu Ka
Structure: the PBE geometry in the Materials Project

Top 12 peaks for 2θ from 10° to 90°, by angle:
2θ/deg, intensity
28.96, 11
35.04, 80
39.17, 100
45.06, 39
49.44, 14
60.02, 9
61.21, 31
68.33, 11
70.99, 17
74.04, 30
81.69, 14
84.20, 11

Atomic structure:
```
4
Lattice="5.311 0.000 0.000 -2.656 4.600 0.000 0.000 0.000 3.083" Properties=species:S:1:pos:R:3 pbc="T T T"
Nd 0.000 0.000 0.000
Rh -1.328 2.300 1.541
Rh 2.656 0.000 1.541
Rh 1.328 2.300 1.541
```

Entry 2:
Calculated powder XRD pattern
Compound: Nd4Rh
Radiation: Cu Ka
Structure: the PBE geometry in the Materials Project

Top 12 peaks for 2θ from 10° to 90°, by angle:
2θ/deg, intensity
22.56, 12
27.72, 100
32.11, 32
35.08, 18
42.12, 19
46.05, 48
54.60, 36
57.25, 6
59.18, 7
68.94, 9
74.15, 12
85.30, 11

Atomic structure:
```
10
Lattice="0.000 5.574 5.574 5.574 0.000 5.574 5.574 5.574 0.000" Properties=species:S:1:pos:R:3 pbc="T T T"
Nd 8.506 5.430 5.430
Nd 2.643 2.643 2.643
Nd 5.718 5.718 2.643
Nd 5.718 2.643 5.718
Nd 5.430 8.506 5.430
Nd 5.430 5.430 8.506
Nd 8.506 8.506 8.506
Nd 2.643 5.718 5.718
Rh 4.181 4.181 4.181
Rh 6.968 6.968 6.968
```

Entry 3:
Calculated powder XRD pattern
Compound: Nd5Rh4
Radiation: Cu Ka
Structure: the PBE geometry in the Materials Project

Top 12 peaks for 2θ from 10° to 90°, by angle:
2θ/deg, intensity
31.58, 85
31.77, 84
33.28, 46
33.71, 26
34.06, 27
35.37, 30
35.55, 23
35.74, 28
37.46, 100
38.13, 19
52.36, 15
56.66, 25

Atomic structure:
```
36
Lattice="7.585 0.000 0.000 0.000 15.074 0.000 0.000 0.000 7.694" Properties=species:S:1:pos:R:3 pbc="T T T"
Nd 0.094 1.398 1.395
Nd 0.094 6.139 1.395
Nd 1.215 1.835 5.148
Nd 1.215 5.702 5.148
Nd 1.350 11.305 3.957
Nd 2.442 3.768 0.110
Nd 2.577 9.372 1.301
Nd 2.577 13.239 1.301
Nd 3.699 8.934 5.242
Nd 3.699 13.676 5.242
Nd 3.887 1.398 2.452
Nd 3.887 6.139 2.452
Nd 5.008 1.835 6.393
Nd 5.008 5.702 6.393
Nd 5.143 11.305 7.585
Nd 6.235 3.768 3.737
Nd 6.370 9.372 2.546
Nd 6.370 13.239 2.546
Nd 7.492 8.934 6.299
Nd 7.492 13.676 6.299
Rh 0.331 11.305 0.802
Rh 1.354 8.139 3.614
Rh 1.354 14.472 3.614
Rh 1.512 3.768 2.763
Rh 2.281 11.305 6.610
Rh 2.439 0.602 7.461
Rh 2.439 6.935 7.461
Rh 3.462 3.768 4.649
Rh 4.124 11.305 3.045
Rh 5.147 8.139 0.233
Rh 5.147 14.472 0.233
Rh 5.305 3.768 1.084
Rh 6.073 11.305 4.931
Rh 6.232 0.602 4.080
Rh 6.232 6.935 4.080
Rh 7.255 3.768 6.893
```

Entry 4:
Calculated powder XRD pattern
Compound: NdRh3
Radiation: Cu Ka
Structure: the PBE geometry in the Materials Project

Top 12 peaks for 2θ from 10° to 90°, by angle:
2θ/deg, intensity
31.90, 46
33.59, 34
39.32, 37
39.47, 100
40.77, 14
40.91, 20
42.01, 33
59.00, 16
62.07, 16
64.02, 24
70.60, 25
84.93, 18

Atomic structure:
```
24
Lattice="5.337 0.000 0.000 -2.668 4.622 0.000 0.000 0.000 17.649" Properties=species:S:1:pos:R:3 pbc="T T T"
Nd 0.000 3.081 0.733
Nd 0.000 3.081 4.412
Nd 0.000 3.081 8.092
Nd 2.668 1.541 9.558
Nd 2.668 1.541 13.237
Nd 2.668 1.541 16.917
Rh 0.000 0.000 0.000
Rh 0.000 0.000 4.412
Rh 0.000 0.000 8.825
Rh 0.000 0.000 13.237
Rh 0.000 1.538 11.073
Rh 0.000 1.538 15.401
Rh -1.336 3.853 11.073
Rh -1.336 3.853 15.401
Rh 1.332 0.769 2.249
Rh 1.332 0.769 6.576
Rh 0.000 3.081 13.237
Rh 2.668 1.541 4.412
Rh 1.336 3.853 11.073
Rh 1.336 3.853 15.401
Rh 4.005 0.769 2.249
Rh 4.005 0.769 6.576
Rh 2.668 3.084 2.249
Rh 2.668 3.084 6.576
```

Entry 5:
Calculated powder XRD pattern
Compound: Nd4Rh
Radiation: Cu Ka
Structure: the PBE geometry in the Materials Project

Top 12 peaks for 2θ from 10° to 90°, by angle:
2θ/deg, intensity
29.39, 18
29.58, 29
30.08, 100
30.30, 66
31.39, 37
31.57, 32
32.54, 47
33.30, 25
33.47, 27
36.47, 25
52.01, 29
57.60, 20

Atomic structure:
```
15
Lattice="6.486 0.000 0.000 0.000 10.026 0.000 -0.060 0.000 7.291" Properties=species:S:1:pos:R:3 pbc="T T T"
Nd 0.000 0.000 0.000
Nd 0.055 3.179 5.211
Nd 0.055 6.847 5.211
Nd 1.213 3.202 1.544
Nd 1.213 6.825 1.544
Nd 1.323 0.000 3.633
Nd 3.235 5.013 4.071
Nd 3.342 1.808 6.229
Nd 3.342 8.218 6.229
Nd 4.427 1.867 2.593
Nd 4.427 8.159 2.593
Nd 4.536 5.013 0.531
Rh 2.743 0.000 1.118
Rh 5.073 0.000 4.746
Rh 5.994 5.013 3.042
```

Entry 6:
Calculated powder XRD pattern
Compound: Nd2Si4RuRh3
Radiation: Cu Ka
Structure: the PBE geometry in the Materials Project

Top 12 peaks for 2θ from 10° to 90°, by angle:
2θ/deg, intensity
23.21, 21
34.30, 26
35.44, 100
43.73, 32
50.08, 6
50.19, 8
56.72, 12
57.54, 15
63.56, 10
63.70, 16
68.71, 7
74.93, 25

Atomic structure:
```
10
Lattice="4.140 0.000 0.000 0.000 4.140 0.000 0.000 0.000 10.115" Properties=species:S:1:pos:R:3 pbc="T T T"
Nd 0.000 2.070 2.500
Nd 2.070 0.000 7.615
Si 0.000 2.070 6.313
Si 0.000 2.070 8.912
Si 2.070 0.000 1.203
Si 2.070 0.000 3.802
Ru 2.070 2.070 0.000
Rh 0.000 0.000 0.000
Rh 0.000 0.000 5.058
Rh 2.070 2.070 5.058
```